Calculated PXRD pattern
Compound: Y3Th3Mn23
Radiation: copper Kα
Structure: a structure optimized by DFT (GGA-PBE)

Atomic structure:
a b c (Å): 8.573 8.573 8.573
angles (deg): 60.06 60.06 60.06
Fractional coordinates of all 29 atoms:
Y 0.196 0.196 0.608
Y 0.196 0.608 0.196
Y 0.608 0.196 0.196
Th 0.194 0.611 0.611
Th 0.611 0.194 0.611
Th 0.611 0.611 0.194
Mn 0.024 0.024 0.535
Mn 0.024 0.535 0.024
Mn 0.026 0.026 0.026
Mn 0.222 0.222 0.939
Mn 0.222 0.939 0.222
Mn 0.226 0.226 0.226
Mn 0.272 0.779 0.779
Mn 0.396 0.901 0.901
Mn 0.401 0.401 0.914
Mn 0.401 0.914 0.401
Mn 0.535 0.024 0.024
Mn 0.579 0.579 0.868
Mn 0.579 0.868 0.579
Mn 0.583 0.583 0.583
Mn 0.779 0.272 0.779
Mn 0.779 0.779 0.272
Mn 0.780 0.780 0.780
Mn 0.868 0.579 0.579
Mn 0.901 0.396 0.901
Mn 0.901 0.901 0.396
Mn 0.906 0.906 0.906
Mn 0.914 0.401 0.401
Mn 0.939 0.222 0.222

Main lines, most intense first (2θ from 15° to 90°):
- 42.14 deg, I 100
- 38.57 deg, I 93
- 32.17 deg, I 36
- 36.28 deg, I 35
- 25.44 deg, I 33
- 65.27 deg, I 26
- 62.70 deg, I 25
- 29.46 deg, I 24
- 53.99 deg, I 22
- 44.83 deg, I 19